Starting from a cell relaxed with PBE+U, the powder diffractogram of Rb2Pr2MgW4O16 was simulated for copper Kα.
Kinematic intensities with the Lorentz-polarization factor, no thermal factor.

Crystal structure
```
data_Rb2Pr2MgW4O16
_symmetry_space_group_name_H-M 'P 1'
_symmetry_Int_Tables_number 1
_cell_length_a 7.5518
_cell_length_b 7.6249
_cell_length_c 8.4231
_cell_angle_alpha 87.61
_cell_angle_beta 64.42
_cell_angle_gamma 61.14
loop_
_symmetry_equiv_pos_as_xyz
'x,y,z'
loop_
_atom_site_label
_atom_site_type_symbol
_atom_site_fract_x
_atom_site_fract_y
_atom_site_fract_z
Rb1 Rb 0.0000 0.0000 0.0000
Rb2 Rb 0.4945 0.4116 0.5828
Pr1 Pr 0.5391 0.9419 0.9494
Pr2 Pr 0.9537 0.4615 0.6287
Mg1 Mg 0.3017 0.2807 0.2608
W1 W 0.0550 0.8893 0.4727
W2 W 0.4539 0.5367 0.1061
W3 W 0.5584 0.8915 0.4624
W4 W 0.9533 0.5176 0.1122
O1 O 0.0311 0.4698 0.8714
O2 O 0.1523 0.2463 0.1263
O3 O 0.1767 0.5886 0.0655
O4 O 0.2237 0.5565 0.3669
O5 O 0.2741 0.8435 0.2039
O6 O 0.3233 0.8131 0.5031
O7 O 0.3370 0.1739 0.4607
O8 O 0.4654 0.9510 0.7059
O9 O 0.5591 0.2372 0.0337
O10 O 0.5959 0.6011 0.8707
O11 O 0.7026 0.8124 0.1755
O12 O 0.7041 0.4512 0.1551
O13 O 0.8127 0.5825 0.3917
O14 O 0.8200 0.9482 0.4071
O15 O 0.9087 0.8139 0.6886
O16 O 0.9340 0.1618 0.5547
```

The 8 most intense peaks (10 to 90 degrees two-theta), sorted by position:
two_theta, I_rel, h k l
16.08, 23, 0 1 -1
23.97, 36, 0 0 2
24.96, 29, 0 1 -2
27.33, 38, 0 2 0
27.47, 24, 0 2 -1
28.66, 100, 2 0 2
30.10, 33, 0 1 2
30.64, 31, 2 0 0